Diffraction record for YAlNi4. The powder XRD pattern is simulated, not measured: it uses the PBE geometry in Alexandria and Cu Kα.
Kinematic intensities with the Lorentz-polarization factor, no thermal factor.

Cell and atoms:
Cell: 3.838 15.083 5.929 Å, 90.00 90.00 90.00°
Space group Cmcm (No. 63)
Unique sites:
1 Y 0.000 0.102 0.250 (multiplicity 4)
2 Al 0.000 0.232 0.750 (multiplicity 4)
3 Ni 0.000 0.077 0.750 (multiplicity 4)
4 Ni 0.000 0.333 0.052 (multiplicity 8)
5 Ni 0.000 0.500 0.000 (multiplicity 4)

Main lines, in order of rising 2θ (2θ from 10° to 80°):
hkl 0 2 0, 11.73 deg, I = 8; hkl 0 4 0, 23.60 deg, I = 8; hkl 1 5 0, 37.94 deg, I = 53; hkl 1 1 2, 38.85 deg, I = 100; hkl 1 5 1, 40.99 deg, I = 15; hkl 2 0 0, 47.40 deg, I = 72; hkl 1 7 0, 48.45 deg, I = 20; hkl 0 0 4, 62.69 deg, I = 10; hkl 2 6 2, 69.27 deg, I = 25; hkl 0 12 0, 75.66 deg, I = 11